Structure and theoretical XRD peak list of TbCePbO2 (a PBE-relaxed structure; Cu Kα X-rays).
Neutral-atom scattering factors, no anomalous dispersion.

Top 10 peaks for 10 to 90 degrees two-theta, by angle:
hkl 1 0 3, 29.93°, intensity 100
hkl 1 1 0, 32.26°, intensity 36
hkl 0 0 6, 39.17°, intensity 11
hkl 2 0 0, 46.27°, intensity 17
hkl 1 1 6, 51.62°, intensity 25
hkl 2 1 3, 56.09°, intensity 35
hkl 2 0 6, 62.19°, intensity 11
hkl 1 0 9, 65.35°, intensity 11
hkl 2 1 9, 83.78°, intensity 11
hkl 3 1 6, 89.80°, intensity 11

```
data_TbCePbO2
_chemical_formula_sum 'Tb2 Ce2 Pb2 O4'
_symmetry_space_group_name_H-M 'I 4 m m'
_symmetry_Int_Tables_number 107
_symmetry_space_group_name_Hall 'I 4 -2'
_cell_length_a 3.9246
_cell_length_b 3.9246
_cell_length_c 13.7975
_cell_angle_alpha 90.00
_cell_angle_beta 90.00
_cell_angle_gamma 90.00
loop_
_atom_site_label
_atom_site_fract_x
_atom_site_fract_y
_atom_site_fract_z
_atom_site_occupancy
Tb1 0.0000 0.0000 0.0000 1
Ce1 0.0000 0.0000 0.3308 1
Pb1 0.0000 0.0000 0.6650 1
O1 0.0000 0.5000 0.4168 1
```

***

Structure and theoretical XRD peak list of Tb4Ce2Pb3O2 (a PBE-relaxed structure; Cu Kα X-rays).
Neutral-atom scattering factors, no anomalous dispersion.

Top 10 peaks for 10 to 90 degrees two-theta, by angle:
hkl 1 0 1, 19.08°, intensity 15
hkl 1 1 2, 27.56°, intensity 30
hkl 0 0 8, 27.66°, intensity 13
hkl 1 1 4, 30.10°, intensity 13
hkl 1 0 7, 30.76°, intensity 15
hkl 1 1 6, 33.96°, intensity 100
hkl 2 0 0, 38.06°, intensity 50
hkl 2 2 0, 54.92°, intensity 17
hkl 2 0 12, 57.98°, intensity 13
hkl 3 1 6, 66.16°, intensity 30

```
data_Tb4Ce2Pb3O2
_chemical_formula_sum 'Tb8 Ce4 Pb6 O4'
_symmetry_space_group_name_H-M 'I 4/m m m'
_symmetry_Int_Tables_number 139
_symmetry_space_group_name_Hall '-I 4 2'
_cell_length_a 4.7288
_cell_length_b 4.7288
_cell_length_c 25.7977
_cell_angle_alpha 90.00
_cell_angle_beta 90.00
_cell_angle_gamma 90.00
loop_
_atom_site_label
_atom_site_fract_x
_atom_site_fract_y
_atom_site_fract_z
_atom_site_occupancy
Tb1 0.0000 0.5000 0.0826 1
Ce1 0.0000 0.0000 0.1941 1
Pb1 0.0000 0.0000 0.3246 1
Pb2 0.0000 0.0000 0.5000 1
O1 0.0000 0.0000 0.0971 1
```

***

Structure and theoretical XRD peak list of CeTePbO6 (a PBE-relaxed structure; Cu Kα X-rays).
Neutral-atom scattering factors, no anomalous dispersion.

Top 10 peaks for 10 to 90 degrees two-theta, by angle:
hkl 1 0 2, 24.87°, intensity 100
hkl 1 1 0, 31.12°, intensity 44
hkl 2 0 2, 40.24°, intensity 27
hkl 1 1 4, 47.40°, intensity 39
hkl 2 1 2, 51.72°, intensity 27
hkl 3 0 0, 55.36°, intensity 14
hkl 1 0 6, 56.71°, intensity 10
hkl 3 0 4, 67.10°, intensity 10
hkl 4 -1 2, 70.63°, intensity 11
hkl 3 -1 6, 74.87°, intensity 9

```
data_CeTePbO6
_chemical_formula_sum 'Ce2 Te2 Pb2 O12'
_symmetry_space_group_name_H-M 'P -3 1 c'
_symmetry_Int_Tables_number 163
_symmetry_space_group_name_Hall '-P 3 2c'
_cell_length_a 5.7486
_cell_length_b 5.7486
_cell_length_c 10.3019
_cell_angle_alpha 90.00
_cell_angle_beta 90.00
_cell_angle_gamma 120.00
loop_
_atom_site_label
_atom_site_fract_x
_atom_site_fract_y
_atom_site_fract_z
_atom_site_occupancy
Ce1 0.3333 0.6667 0.2500 1
Te1 0.3333 0.6667 0.7500 1
Pb1 0.0000 0.0000 0.0000 1
O1 0.0410 0.3923 0.6441 1
```

***

Structure and theoretical XRD peak list of Ce2TePbO8 (a PBE-relaxed structure; Cu Kα X-rays).
Neutral-atom scattering factors, no anomalous dispersion.

Top 10 peaks for 10 to 90 degrees two-theta, by angle:
hkl 0 2 0, 24.62°, intensity 53
hkl 2 0 0, 24.78°, intensity 53
hkl 1 1 2, 30.43°, intensity 100
hkl 2 2 0, 35.22°, intensity 28
hkl 1 3 2, 47.13°, intensity 38
hkl 3 1 2, 47.30°, intensity 37
hkl 0 0 4, 50.81°, intensity 17
hkl 2 0 4, 57.28°, intensity 29
hkl 3 3 2, 60.25°, intensity 21
hkl 5 3 2, 82.70°, intensity 14

```
data_Ce2TePbO8
_chemical_formula_sum 'Ce4 Te2 Pb2 O16'
_symmetry_space_group_name_H-M 'C m m m'
_symmetry_Int_Tables_number 65
_symmetry_space_group_name_Hall '-C 2 2'
_cell_length_a 7.1862
_cell_length_b 7.2307
_cell_length_c 7.1889
_cell_angle_alpha 90.00
_cell_angle_beta 90.00
_cell_angle_gamma 90.00
loop_
_atom_site_label
_atom_site_fract_x
_atom_site_fract_y
_atom_site_fract_z
_atom_site_occupancy
Ce1 0.0000 0.0000 0.2479 1
Te1 0.0000 0.5000 0.0000 1
Pb1 0.0000 0.5000 0.5000 1
O1 0.0000 0.1717 0.5000 1
O2 0.0000 0.2221 0.0000 1
O3 0.1876 0.5000 0.1972 1
```

***

Structure and theoretical XRD peak list of CeYPbO2 (a PBE-relaxed structure; Cu Kα X-rays).
Neutral-atom scattering factors, no anomalous dispersion.

Top 10 peaks for 10 to 90 degrees two-theta, by angle:
hkl 1 0 3, 29.96°, intensity 100
hkl 1 1 0, 32.27°, intensity 35
hkl 0 0 6, 39.24°, intensity 10
hkl 2 0 0, 46.29°, intensity 17
hkl 1 1 6, 51.69°, intensity 25
hkl 2 1 3, 56.12°, intensity 34
hkl 2 0 6, 62.26°, intensity 11
hkl 1 0 9, 65.46°, intensity 11
hkl 2 1 9, 83.90°, intensity 11
hkl 3 1 6, 89.88°, intensity 11

```
data_CeYPbO2
_chemical_formula_sum 'Ce2 Y2 Pb2 O4'
_symmetry_space_group_name_H-M 'I 4 m m'
_symmetry_Int_Tables_number 107
_symmetry_space_group_name_Hall 'I 4 -2'
_cell_length_a 3.9230
_cell_length_b 3.9230
_cell_length_c 13.7738
_cell_angle_alpha 90.00
_cell_angle_beta 90.00
_cell_angle_gamma 90.00
loop_
_atom_site_label
_atom_site_fract_x
_atom_site_fract_y
_atom_site_fract_z
_atom_site_occupancy
Ce1 0.0000 0.0000 0.0000 1
Y1 0.0000 0.0000 0.3311 1
Pb1 0.0000 0.0000 0.6665 1
O1 0.0000 0.5000 0.4143 1
```

***

Structure and theoretical XRD peak list of CePd3Rh4O12 (a PBE-relaxed structure; Cu Kα X-rays).
Neutral-atom scattering factors, no anomalous dispersion.

Top 10 peaks for 10 to 90 degrees two-theta, by angle:
hkl 1 1 0, 16.39°, intensity 1
hkl 2 2 0, 33.13°, intensity 100
hkl 3 1 0, 37.18°, intensity 2
hkl 2 2 2, 40.88°, intensity 1
hkl 3 2 1, 44.32°, intensity 2
hkl 4 0 0, 47.56°, intensity 23
hkl 4 2 2, 59.19°, intensity 46
hkl 4 4 0, 69.54°, intensity 13
hkl 6 0 2, 79.23°, intensity 17
hkl 4 4 4, 88.61°, intensity 4

```
data_CePd3Rh4O12
_chemical_formula_sum 'Ce2 Pd6 Rh8 O24'
_symmetry_space_group_name_H-M 'I m -3'
_symmetry_Int_Tables_number 204
_symmetry_space_group_name_Hall '-I 2 2 3'
_cell_length_a 7.6471
_cell_length_b 7.6471
_cell_length_c 7.6471
_cell_angle_alpha 90.00
_cell_angle_beta 90.00
_cell_angle_gamma 90.00
loop_
_atom_site_label
_atom_site_fract_x
_atom_site_fract_y
_atom_site_fract_z
_atom_site_occupancy
Ce1 0.0000 0.0000 0.0000 1
Pd1 0.0000 0.0000 0.5000 1
Rh1 0.2500 0.2500 0.2500 1
O1 0.0000 0.1682 0.2948 1
```